Theoretical powder diffractogram of LiAgF3 for CuKα, from a GGA-PBE-relaxed structure.

Principal peaks in the range 2θ = 10–80°, by intensity:
d (Å), I_rel
4.011, 100
2.952, 53
1.851, 37
2.734, 25
2.259, 24
1.741, 19
2.006, 18
1.617, 17
1.578, 16
2.402, 11

Crystal structure
```
LiAgF3
1.0
2.7337 1.5783 5.0328
-2.7337 1.5783 5.0328
0.0000 -3.1566 5.0328
Li Ag F
2 2 6
Direct
0.0000 0.0000 0.0000
0.5000 0.5000 0.5000
0.2126 0.2126 0.2126
0.7126 0.7126 0.7126
0.1369 0.7946 0.4233
0.2946 0.6369 0.9233
0.4233 0.1369 0.7946
0.6369 0.9233 0.2946
0.7946 0.4233 0.1369
0.9233 0.2946 0.6369
```

---

Theoretical powder diffractogram of LiAg2F6 for CuKα, from a GGA-PBE-relaxed structure.

Principal peaks in the range 2θ = 10–80°, by intensity:
d (Å), I_rel
3.093, 100
3.234, 95
5.192, 65
3.848, 40
1.915, 39
1.959, 28
4.454, 23
1.872, 18
3.369, 17
8.024, 16

Crystal structure
```
LiAg2F6
1.0
5.6095 0.0000 0.0000
0.0000 5.4872 0.0000
-1.0695 0.0000 16.0489
Li Ag F
4 8 24
Direct
0.1568 0.0378 0.4326
0.1568 0.4622 0.9326
0.8432 0.5378 0.0674
0.8432 0.9622 0.5674
0.2418 0.5142 0.2549
0.2418 0.9858 0.7549
0.2991 0.5282 0.5769
0.2991 0.9718 0.0769
0.7009 0.0282 0.9231
0.7009 0.4718 0.4231
0.7582 0.0142 0.2451
0.7582 0.4858 0.7451
0.0092 0.1465 0.8268
0.0092 0.3535 0.3268
0.0756 0.1434 0.6551
0.0756 0.3566 0.1551
0.0795 0.7368 0.0061
0.0795 0.7632 0.5061
0.3935 0.2394 0.9784
0.3935 0.2606 0.4784
0.4245 0.6712 0.3531
0.4245 0.8288 0.8531
0.4693 0.6749 0.1831
0.4693 0.8251 0.6831
0.5307 0.1749 0.3169
0.5307 0.3251 0.8169
0.5755 0.1712 0.1469
0.5755 0.3288 0.6469
0.6065 0.7394 0.5216
0.6065 0.7606 0.0216
0.9205 0.2368 0.4939
0.9205 0.2632 0.9939
0.9244 0.6434 0.8449
0.9244 0.8566 0.3449
0.9908 0.6465 0.6732
0.9908 0.8535 0.1732
```

---

Theoretical powder diffractogram of LiAg2F6 for CuKα, from a GGA-PBE-relaxed structure.

Principal peaks in the range 2θ = 10–80°, by intensity:
d (Å), I_rel
3.479, 100
1.849, 72
4.434, 71
2.803, 70
5.116, 25
1.478, 24
2.877, 23
2.151, 21
1.739, 20
1.531, 16

Crystal structure
```
LiAg2F6
1.0
4.9199 0.0000 0.0000
0.0000 4.9199 0.0000
0.0000 0.0000 10.2324
Li Ag F
2 4 12
Direct
0.0000 0.5000 0.2478
0.5000 0.0000 0.7522
0.0000 0.5000 0.5850
0.0000 0.5000 0.9167
0.5000 0.0000 0.0833
0.5000 0.0000 0.4150
0.1958 0.6958 0.0794
0.1984 0.6984 0.4186
0.2012 0.7012 0.7529
0.2988 0.2012 0.2471
0.3016 0.1984 0.5814
0.3042 0.1958 0.9206
0.6958 0.8042 0.9206
0.6984 0.8016 0.5814
0.7012 0.7988 0.2471
0.7988 0.2988 0.7529
0.8016 0.3016 0.4186
0.8042 0.3042 0.0794
```

---

Theoretical powder diffractogram of Li2AgF3 for CuKα, from a GGA-PBE-relaxed structure.

Principal peaks in the range 2θ = 10–80°, by intensity:
d (Å), I_rel
4.535, 100
2.337, 46
2.517, 38
2.354, 25
5.328, 24
3.658, 24
2.134, 20
1.907, 19
2.274, 15
2.324, 15

Crystal structure
```
Li2AgF3
1.0
2.6339 -5.3281 0.0000
2.6339 5.3281 0.0000
-1.6306 0.0000 5.0301
Li Ag F
4 2 6
Direct
0.1466 0.8534 0.7500
0.2435 0.7565 0.2500
0.7565 0.2435 0.7500
0.8534 0.1466 0.2500
0.4410 0.5590 0.7500
0.5590 0.4410 0.2500
0.0000 0.5000 0.5000
0.1033 0.3478 0.0377
0.3478 0.1033 0.5377
0.5000 0.0000 0.0000
0.6522 0.8967 0.4623
0.8967 0.6522 0.9623
```

---

What did the second record say?
Theoretical powder diffractogram of LiAg2F6 for CuKα, from a GGA-PBE-relaxed structure.

Principal peaks in the range 2θ = 10–80°, by intensity:
d (Å), I_rel
3.093, 100
3.234, 95
5.192, 65
3.848, 40
1.915, 39
1.959, 28
4.454, 23
1.872, 18
3.369, 17
8.024, 16

Crystal structure
```
LiAg2F6
1.0
5.6095 0.0000 0.0000
0.0000 5.4872 0.0000
-1.0695 0.0000 16.0489
Li Ag F
4 8 24
Direct
0.1568 0.0378 0.4326
0.1568 0.4622 0.9326
0.8432 0.5378 0.0674
0.8432 0.9622 0.5674
0.2418 0.5142 0.2549
0.2418 0.9858 0.7549
0.2991 0.5282 0.5769
0.2991 0.9718 0.0769
0.7009 0.0282 0.9231
0.7009 0.4718 0.4231
0.7582 0.0142 0.2451
0.7582 0.4858 0.7451
0.0092 0.1465 0.8268
0.0092 0.3535 0.3268
0.0756 0.1434 0.6551
0.0756 0.3566 0.1551
0.0795 0.7368 0.0061
0.0795 0.7632 0.5061
0.3935 0.2394 0.9784
0.3935 0.2606 0.4784
0.4245 0.6712 0.3531
0.4245 0.8288 0.8531
0.4693 0.6749 0.1831
0.4693 0.8251 0.6831
0.5307 0.1749 0.3169
0.5307 0.3251 0.8169
0.5755 0.1712 0.1469
0.5755 0.3288 0.6469
0.6065 0.7394 0.5216
0.6065 0.7606 0.0216
0.9205 0.2368 0.4939
0.9205 0.2632 0.9939
0.9244 0.6434 0.8449
0.9244 0.8566 0.3449
0.9908 0.6465 0.6732
0.9908 0.8535 0.1732
```